Starting from a DFT-relaxed cell (PBE+U, Alexandria), the powder diffractogram of Mn3FeP4O16 was calculated for copper Kα.
Kinematic intensities with the Lorentz-polarization factor, no thermal factor.

Cell lengths 11.433, 11.433, 4.827 Å; angles 90.33, 90.33, 62.20 degrees
Fractional positions:
Mn (0.000, 0.000, 0.000)
Mn (0.035, 0.532, 0.844)
Mn (0.250, 0.250, 0.335)
Mn (0.284, 0.780, 0.486)
Mn (0.532, 0.035, 0.844)
Mn (0.780, 0.284, 0.486)
Fe (0.505, 0.505, 0.984)
Fe (0.753, 0.753, 0.365)
P (0.094, 0.094, 0.522)
P (0.195, 0.686, 0.021)
P (0.346, 0.346, 0.812)
P (0.444, 0.935, 0.320)
P (0.595, 0.595, 0.525)
P (0.686, 0.195, 0.021)
P (0.843, 0.843, 0.827)
P (0.935, 0.444, 0.320)
O (0.072, 0.379, 0.169)
O (0.082, 0.082, 0.205)
O (0.114, 0.613, 0.077)
O (0.131, 0.824, 0.176)
O (0.161, 0.955, 0.667)
O (0.171, 0.171, 0.572)
O (0.203, 0.700, 0.708)
O (0.208, 0.412, 0.663)
O (0.332, 0.332, 0.127)
O (0.333, 0.619, 0.170)
O (0.365, 0.859, 0.265)
O (0.379, 0.072, 0.169)
O (0.412, 0.208, 0.663)
O (0.423, 0.423, 0.762)
O (0.451, 0.951, 0.636)
O (0.456, 0.659, 0.676)
O (0.583, 0.866, 0.180)
O (0.584, 0.584, 0.210)
O (0.613, 0.114, 0.077)
O (0.619, 0.333, 0.170)
O (0.659, 0.456, 0.676)
O (0.672, 0.672, 0.591)
O (0.700, 0.203, 0.708)
O (0.707, 0.908, 0.669)
O (0.824, 0.131, 0.176)
O (0.833, 0.833, 0.141)
O (0.859, 0.365, 0.265)
O (0.866, 0.583, 0.180)
O (0.908, 0.707, 0.669)
O (0.920, 0.920, 0.771)
O (0.951, 0.451, 0.636)
O (0.955, 0.161, 0.667)

Largest 8 diffraction maxima, by angle, 10 to 80 degrees two-theta:
d 4.895, 18.12°, I 83; d 4.341, 20.46°, I 62; d 4.318, 20.57°, I 55; d 3.492, 25.51°, I 98; d 2.953, 30.27°, I 100; d 2.464, 36.46°, I 50; d 2.452, 36.65°, I 52; d 2.440, 36.84°, I 45